Entry 1:
This entry pairs a crystal structure of LaPm2Sm4 with its calculated powder diffractogram. Radiation: Cu Kα X-rays. Structure: a crystal structure in Alexandria, relaxed with GGA-PBE.
Intensities are scaled so that the largest is 100.

```
LaPm2Sm4
1.0
9.312 0.000 0.000
0.000 9.312 0.000
0.000 0.000 5.901
La Pm Sm
2 4 8
Direct
0.000 0.000 0.000 La
0.500 0.500 0.500 La
0.187 0.187 0.500 Pm
0.313 0.687 0.000 Pm
0.687 0.313 0.000 Pm
0.813 0.813 0.500 Pm
0.104 0.365 0.000 Sm
0.135 0.604 0.500 Sm
0.365 0.104 0.000 Sm
0.396 0.865 0.500 Sm
0.604 0.135 0.500 Sm
0.635 0.896 0.000 Sm
0.865 0.396 0.500 Sm
0.896 0.635 0.000 Sm
```

Top 10 peaks for 15 to 90 degrees two-theta, low angle first:
- 2θ = 21.34°, rel. 26
- 2θ = 30.31°, rel. 74
- 2θ = 31.11°, rel. 100
- 2θ = 32.60°, rel. 50
- 2θ = 34.03°, rel. 52
- 2θ = 43.42°, rel. 15
- 2θ = 49.92°, rel. 24
- 2θ = 54.33°, rel. 21
- 2θ = 55.33°, rel. 23
- 2θ = 59.53°, rel. 19



Entry 2:
This entry pairs a crystal structure of Li3Nb4O12 with its calculated powder diffractogram. Radiation: Cu Kα X-rays. Structure: a crystal structure in Alexandria, relaxed with GGA-PBE.
Intensities are scaled so that the largest is 100.

```
Li3Nb4O12
1.0
2.634 1.520 9.454
-2.634 1.520 9.454
0.000 -3.041 9.454
Li Nb O
3 4 12
Direct
0.000 0.000 0.000 Li
0.247 0.247 0.247 Li
0.500 0.500 0.500 Li
0.111 0.111 0.111 Nb
0.356 0.356 0.356 Nb
0.608 0.608 0.608 Nb
0.858 0.858 0.858 Nb
0.103 0.478 0.849 O
0.143 0.737 0.292 O
0.232 0.840 0.601 O
0.292 0.143 0.737 O
0.346 0.591 0.982 O
0.478 0.849 0.103 O
0.591 0.982 0.346 O
0.601 0.232 0.840 O
0.737 0.292 0.143 O
0.840 0.601 0.232 O
0.849 0.103 0.478 O
0.982 0.346 0.591 O
```

Top 10 peaks for 15 to 90 degrees two-theta, low angle first:
- 2θ = 23.19°, rel. 100
- 2θ = 31.97°, rel. 34
- 2θ = 34.04°, rel. 21
- 2θ = 41.60°, rel. 10
- 2θ = 47.40°, rel. 19
- 2θ = 51.99°, rel. 25
- 2θ = 54.80°, rel. 16
- 2θ = 59.63°, rel. 13
- 2θ = 60.93°, rel. 10
- 2θ = 76.48°, rel. 7



Entry 3:
This entry pairs a crystal structure of CaCdW4 with its calculated powder diffractogram. Radiation: Cu Kα X-rays. Structure: a crystal structure in Alexandria, relaxed with GGA-PBE.
Intensities are scaled so that the largest is 100.

```
CaCdW4
1.0
0.000 3.869 3.869
3.869 0.000 3.869
3.869 3.869 0.000
Ca Cd W
1 1 4
Direct
0.000 0.000 0.000 Ca
0.750 0.750 0.750 Cd
0.375 0.375 0.375 W
0.375 0.375 0.876 W
0.375 0.876 0.375 W
0.876 0.375 0.375 W
```

Top 10 peaks for 15 to 90 degrees two-theta, low angle first:
- 2θ = 19.87°, rel. 50
- 2θ = 38.59°, rel. 100
- 2θ = 40.38°, rel. 69
- 2θ = 46.97°, rel. 21
- 2θ = 51.48°, rel. 13
- 2θ = 62.36°, rel. 32
- 2θ = 68.61°, rel. 32
- 2θ = 72.23°, rel. 10
- 2θ = 81.59°, rel. 11
- 2θ = 82.73°, rel. 27



Entry 4:
This entry pairs a crystal structure of AcY2Zn2Ga2 with its calculated powder diffractogram. Radiation: Cu Kα X-rays. Structure: a crystal structure in Alexandria, relaxed with GGA-PBE.
Intensities are scaled so that the largest is 100.

```
AcY2Zn2Ga2
1.0
2.252 1.300 9.835
-2.252 1.300 9.835
0.000 -2.601 9.835
Ac Y Zn Ga
1 2 2 2
Direct
0.000 0.000 0.000 Ac
0.130 0.130 0.130 Y
0.870 0.870 0.870 Y
0.409 0.409 0.409 Zn
0.591 0.591 0.591 Zn
0.252 0.252 0.252 Ga
0.748 0.748 0.748 Ga
```

Top 10 peaks for 15 to 90 degrees two-theta, low angle first:
- 2θ = 23.00°, rel. 43
- 2θ = 27.41°, rel. 32
- 2θ = 31.24°, rel. 95
- 2θ = 33.44°, rel. 93
- 2θ = 40.03°, rel. 100
- 2θ = 51.64°, rel. 23
- 2θ = 53.12°, rel. 25
- 2θ = 62.71°, rel. 29
- 2θ = 67.28°, rel. 20
- 2θ = 68.54°, rel. 23



Please write out number 1 again, unchanged.
This entry pairs a crystal structure of LaPm2Sm4 with its calculated powder diffractogram. Radiation: Cu Kα X-rays. Structure: a crystal structure in Alexandria, relaxed with GGA-PBE.
Intensities are scaled so that the largest is 100.

```
LaPm2Sm4
1.0
9.312 0.000 0.000
0.000 9.312 0.000
0.000 0.000 5.901
La Pm Sm
2 4 8
Direct
0.000 0.000 0.000 La
0.500 0.500 0.500 La
0.187 0.187 0.500 Pm
0.313 0.687 0.000 Pm
0.687 0.313 0.000 Pm
0.813 0.813 0.500 Pm
0.104 0.365 0.000 Sm
0.135 0.604 0.500 Sm
0.365 0.104 0.000 Sm
0.396 0.865 0.500 Sm
0.604 0.135 0.500 Sm
0.635 0.896 0.000 Sm
0.865 0.396 0.500 Sm
0.896 0.635 0.000 Sm
```

Top 10 peaks for 15 to 90 degrees two-theta, low angle first:
- 2θ = 21.34°, rel. 26
- 2θ = 30.31°, rel. 74
- 2θ = 31.11°, rel. 100
- 2θ = 32.60°, rel. 50
- 2θ = 34.03°, rel. 52
- 2θ = 43.42°, rel. 15
- 2θ = 49.92°, rel. 24
- 2θ = 54.33°, rel. 21
- 2θ = 55.33°, rel. 23
- 2θ = 59.53°, rel. 19